For Li2Mn3ZnO8, DFT lattice parameters and positions (GGA+U) gives the calculated XRD peak list in this record (Cu Kα (λ = 1.5418 Å)).

Atomic structure:
```
data_Li2Mn3ZnO8
_chemical_formula_sum 'Li8 Mn12 Zn4 O32'
_space_group_name_H-M_alt 'P 21 3'
_space_group_IT_number 198
_space_group_name_Hall 'P 2ac 2ab 3'
_cell_length_a 8.3023
_cell_length_b 8.3023
_cell_length_c 8.3023
_cell_angle_alpha 90.00
_cell_angle_beta 90.00
_cell_angle_gamma 90.00
loop_
_atom_site_label
_atom_site_type_symbol
_atom_site_fract_x
_atom_site_fract_y
_atom_site_fract_z
Li1 Li 0.1251 0.1251 0.1251
Li2 Li 0.2494 0.7506 0.2506
Mn1 Mn 0.1222 0.8760 0.8770
Zn1 Zn 0.0013 0.9987 0.4987
O1 O 0.1013 0.8712 0.1060
O2 O 0.1133 0.3867 0.6133
O3 O 0.1212 0.8519 0.6415
O4 O 0.1371 0.6371 0.8629
```

Top 12 peaks for 5 to 70 degrees two-theta, in order of falling intensity:
2theta  I/Imax  index
35.87  100  3 1 1
63.37  48  4 4 0
57.70  40  5 1 1
18.51  40  1 1 1
43.61  30  4 0 0
23.97  24  2 0 1
30.45  24  2 2 0
21.41  23  2 0 0
15.09  21  1 1 0
26.29  10  2 1 1
37.53  10  2 2 2
54.12  8  4 2 2

=====

For Ti5Mn3O16, DFT lattice parameters and positions (GGA+U) gives the calculated XRD peak list in this record (Cu Kα (λ = 1.5418 Å)).

Atomic structure:
```
data_Ti5Mn3O16
_chemical_formula_sum 'Ti10 Mn6 O32'
_space_group_name_H-M_alt 'C 1 m 1'
_space_group_IT_number 8
_cell_length_a 10.1424
_cell_length_b 5.8705
_cell_length_c 9.0602
_cell_angle_alpha 90.00
_cell_angle_beta 90.69
_cell_angle_gamma 90.00
loop_
_space_group_symop_operation_xyz
'x,y,z'
'x,-y,z'
'x+1/2,y+1/2,z'
'x+1/2,-y+1/2,z'
loop_
_atom_site_label
_atom_site_type_symbol
_atom_site_fract_x
_atom_site_fract_y
_atom_site_fract_z
Ti1 Ti 0.0000 0.0000 0.0000
Ti2 Ti 0.0065 0.5000 0.2194
Ti3 Ti 0.0892 0.2474 0.7188
Ti4 Ti 0.3365 0.0000 0.4976
Mn1 Mn 0.2557 0.2460 0.2161
Mn2 Mn 0.3409 0.5000 0.7163
O1 O 0.0002 0.0000 0.6051
O2 O 0.0843 0.2465 0.1055
O3 O 0.1480 0.0000 0.8440
O4 O 0.1734 0.5000 0.8198
O5 O 0.1743 0.5000 0.3194
O6 O 0.1916 0.0000 0.3362
O7 O 0.2539 0.2462 0.6058
O8 O 0.3322 0.0000 0.1071
O9 O 0.3367 0.5000 0.1077
O10 O 0.4064 0.2188 0.3415
O11 O 0.4280 0.2860 0.8412
O12 O 0.4986 0.0000 0.6046
```

Top 12 peaks for 5 to 70 degrees two-theta, in order of falling intensity:
2theta  I/Imax  index
19.60  100  0 0 2
19.98  77  2 0 -1
20.11  65  1 1 1
36.69  52  4 0 -1
46.55  39  2 2 -3
40.60  35  2 2 -2
63.51  35  6 2 0
46.87  27  2 2 3
63.40  27  0 4 0
26.26  21  2 0 -2
36.80  21  2 2 1
40.83  19  2 2 2

=====

For FeOF, DFT lattice parameters and positions (GGA+U) gives the calculated XRD peak list in this record (Cu Kα (λ = 1.5418 Å)).

Atomic structure:
```
data_FeOF
_chemical_formula_sum 'Fe12 O12 F12'
_space_group_name_H-M_alt 'P 1 m 1'
_space_group_IT_number 6
_cell_length_a 9.4638
_cell_length_b 3.0853
_cell_length_c 14.2567
_cell_angle_alpha 90.00
_cell_angle_beta 90.05
_cell_angle_gamma 90.00
loop_
_space_group_symop_operation_xyz
'x,y,z'
'x,-y,z'
loop_
_atom_site_label
_atom_site_type_symbol
_atom_site_fract_x
_atom_site_fract_y
_atom_site_fract_z
Fe1 Fe 0.0000 0.0000 0.0000
Fe2 Fe 0.9999 0.0000 0.3345
Fe3 Fe 0.2059 0.5000 0.5033
Fe4 Fe 0.2079 0.5000 0.1694
Fe5 Fe 0.2185 0.5000 0.8326
Fe6 Fe 0.4688 0.0000 0.6859
Fe7 Fe 0.4976 0.0000 0.3393
Fe8 Fe 0.4988 0.0000 0.0054
Fe9 Fe 0.7053 0.5000 0.8351
Fe10 Fe 0.7081 0.5000 0.1728
Fe11 Fe 0.7197 0.5000 0.4997
Fe12 Fe 0.9625 0.0000 0.6484
O1 O 0.0717 0.5000 0.4001
O2 O 0.0743 0.5000 0.0669
O3 O 0.1236 0.0000 0.8944
O4 O 0.1267 0.0000 0.5654
O5 O 0.1358 0.0000 0.2351
O6 O 0.3139 0.0000 0.7683
O7 O 0.5741 0.5000 0.0695
O8 O 0.5753 0.5000 0.4054
O9 O 0.5768 0.5000 0.7270
O10 O 0.6277 0.0000 0.8983
O11 O 0.6358 0.0000 0.2397
O12 O 0.8642 0.5000 0.5948
F1 F 0.0548 0.5000 0.7255
F2 F 0.3252 0.0000 0.4355
F3 F 0.3277 0.0000 0.1069
F4 F 0.3772 0.5000 0.9425
F5 F 0.3800 0.5000 0.5966
F6 F 0.3842 0.5000 0.2718
F7 F 0.6200 0.0000 0.5621
F8 F 0.8213 0.0000 0.4304
F9 F 0.8245 0.0000 0.1076
F10 F 0.8256 0.0000 0.7685
F11 F 0.8752 0.5000 0.9365
F12 F 0.8810 0.5000 0.2688
```

Top 12 peaks for 5 to 70 degrees two-theta, in order of falling intensity:
2theta  I/Imax  index
26.58  100  2 0 -3
34.69  54  0 1 3
52.30  30  2 1 -6
52.40  27  4 1 -3
39.70  18  2 1 -3
54.75  15  4 0 -6
66.75  12  2 2 -3
66.33  11  0 1 9
59.96  10  0 2 0
66.59  9  6 1 0
42.69  6  4 0 3
42.58  4  2 0 6

=====

For Li9Co13O28, DFT lattice parameters and positions (GGA+U) gives the calculated XRD peak list in this record (Cu Kα (λ = 1.5418 Å)).

Atomic structure:
```
data_Li9Co13O28
_chemical_formula_sum 'Li9 Co13 O28'
_space_group_name_H-M_alt 'P 1'
_space_group_IT_number 1
_cell_length_a 7.4412
_cell_length_b 8.0946
_cell_length_c 8.5372
_cell_angle_alpha 101.58
_cell_angle_beta 104.39
_cell_angle_gamma 105.17
loop_
_space_group_symop_operation_xyz
'x,y,z'
loop_
_atom_site_label
_atom_site_type_symbol
_atom_site_fract_x
_atom_site_fract_y
_atom_site_fract_z
Li1 Li 0.0000 0.0000 0.0000
Li2 Li 0.0459 0.2026 0.7806
Li3 Li 0.1266 0.4214 0.5607
Li4 Li 0.4232 0.2695 0.7225
Li5 Li 0.5399 0.7169 0.2931
Li6 Li 0.6082 0.9380 0.0718
Li7 Li 0.7638 0.3404 0.6371
Li8 Li 0.8387 0.5663 0.4254
Li9 Li 0.9253 0.7868 0.2219
Co1 Co 0.0562 0.7165 0.7911
Co2 Co 0.1192 0.9266 0.5701
Co3 Co 0.1937 0.1409 0.3620
Co4 Co 0.2707 0.3590 0.1490
Co5 Co 0.3382 0.5675 0.9290
Co6 Co 0.4083 0.7784 0.7103
Co7 Co 0.4801 0.9910 0.4942
Co8 Co 0.5555 0.2067 0.2891
Co9 Co 0.6212 0.4172 0.0682
Co10 Co 0.6942 0.6358 0.8551
Co11 Co 0.7658 0.8574 0.6401
Co12 Co 0.9095 0.2806 0.2193
Co13 Co 0.9822 0.4961 0.0015
O1 O 0.0007 0.2698 0.0250
O2 O 0.0372 0.9454 0.7693
O3 O 0.0624 0.4802 0.8019
O4 O 0.1346 0.6982 0.5954
O5 O 0.1395 0.1573 0.5648
O6 O 0.1830 0.3681 0.3410
O7 O 0.2010 0.9123 0.3772
O8 O 0.2575 0.5787 0.1239
O9 O 0.2810 0.1350 0.1725
O10 O 0.3330 0.7948 0.9036
O11 O 0.3439 0.3386 0.9494
O12 O 0.3913 0.9999 0.6860
O13 O 0.4197 0.5511 0.7329
O14 O 0.4699 0.2213 0.4861
O15 O 0.4942 0.7665 0.5177
O16 O 0.5441 0.4392 0.2639
O17 O 0.5452 0.9849 0.2991
O18 O 0.6158 0.6540 0.0526
O19 O 0.6373 0.1920 0.0957
O20 O 0.6813 0.8603 0.8363
O21 O 0.7057 0.4111 0.8698
O22 O 0.7427 0.0696 0.6315
O23 O 0.7842 0.6276 0.6671
O24 O 0.8276 0.3146 0.4043
O25 O 0.8558 0.8200 0.4549
O26 O 0.8918 0.5047 0.1928
O27 O 0.9373 0.0589 0.2210
O28 O 0.9611 0.7245 0.9823
```

Top 12 peaks for 5 to 70 degrees two-theta, in order of falling intensity:
2theta  I/Imax  index
18.46  100  0 1 1
44.87  37  3 0 1
37.44  36  3 -1 0
45.00  18  2 0 -4
66.49  15  5 0 -3
49.01  6  1 -1 4
39.01  6  2 2 -2
69.73  6  -5 1 4
58.58  5  1 -5 0
64.15  5  2 4 0
58.70  5  3 1 2
64.44  5  1 0 5